This entry pairs a crystal structure of MgNi2W2O8 with its computed powder XRD pattern. Radiation: CuKα. Structure: DFT lattice parameters and positions (GGA+U).

Principal peaks in the range 10° ≤ 2θ ≤ 80°, by angle:
d (Å)	Rel. int.	(hkl)
5.885	54	0 0 1
4.947	97	1 0 0
4.114	100	1 0 1
3.605	51	1 1 1
3.527	79	1 0 -1
2.984	68	1 -1 1
2.971	73	1 1 -1
2.904	62	-1 1 1
2.477	68	1 2 0
2.455	66	0 1 -2

Atomic structure:
```
data_MgNi2W2O8
_chemical_formula_sum 'Mg1 Ni2 W2 O8'
_cell_length_a 5.0681
_cell_length_b 5.4062
_cell_length_c 6.0172
_cell_angle_alpha 81.91
_cell_angle_beta 80.02
_cell_angle_gamma 81.12
_symmetry_space_group_name_H-M 'P 1'
_symmetry_Int_Tables_number 1
loop_
_symmetry_equiv_pos_as_xyz
'x,y,z'
loop_
_atom_site_label
_atom_site_fract_x
_atom_site_fract_y
_atom_site_fract_z
Mg1 0.0000 0.0000 0.0000
Ni1 0.2450 0.3882 0.0574
Ni2 0.2528 0.8551 0.3582
W1 0.6584 0.7982 0.7694
W2 0.6845 0.3467 0.4859
O1 0.3902 0.9767 0.0180
O2 0.4347 0.4987 0.2923
O3 0.4558 0.5125 0.7663
O4 0.4745 0.0185 0.5323
O5 0.8592 0.1188 0.7222
O6 0.8910 0.6332 0.4975
O7 0.9164 0.6642 0.9660
O8 0.9770 0.1817 0.2626
```

=====

This entry pairs a crystal structure of Li5Mn7O16 with its computed powder XRD pattern. Radiation: CuKα. Structure: DFT lattice parameters and positions (GGA+U).

Principal peaks in the range 10° ≤ 2θ ≤ 80°, by angle:
d (Å)	Rel. int.	(hkl)
4.818	100	1 2 0
4.785	51	1 0 1
2.524	23	3 2 0
2.506	17	1 4 1
2.493	28	1 2 2
2.098	29	4 0 0
2.070	55	0 4 2
1.597	12	1 6 2
1.473	33	4 4 2
1.456	8	0 0 4

Atomic structure:
```
data_Li5Mn7O16
_chemical_formula_sum 'Li10 Mn14 O32'
_cell_length_a 8.3912
_cell_length_b 11.7690
_cell_length_c 5.8257
_cell_angle_alpha 90.00
_cell_angle_beta 90.00
_cell_angle_gamma 90.00
_symmetry_space_group_name_H-M 'P n n m'
_symmetry_Int_Tables_number 58
loop_
_symmetry_equiv_pos_as_xyz
'x,y,z'
'-x,-y,-z'
'-x,-y,z'
'x,y,-z'
'x+1/2,-y+1/2,-z+1/2'
'-x+1/2,y+1/2,z+1/2'
'-x+1/2,y+1/2,-z+1/2'
'x+1/2,-y+1/2,z+1/2'
loop_
_atom_site_label
_atom_site_fract_x
_atom_site_fract_y
_atom_site_fract_z
Li1 0.0000 0.0000 0.0000
Li2 0.1124 0.1223 0.5000
Li3 0.1224 0.6206 0.5000
Mn1 0.0000 0.5000 0.0000
Mn2 0.0011 0.7501 0.0000
Mn3 0.2450 0.8725 0.2479
O1 0.0185 0.3752 0.2237
O2 0.0212 0.8613 0.2304
O3 0.2313 0.2585 0.0000
O4 0.2365 0.7584 0.0000
O5 0.2393 0.9785 0.5000
O6 0.2485 0.9772 0.0000
```

=====

This entry pairs a crystal structure of CaWO2 with its computed powder XRD pattern. Radiation: CuKα. Structure: DFT lattice parameters and positions (GGA+U).

Principal peaks in the range 10° ≤ 2θ ≤ 80°, by angle:
d (Å)	Rel. int.	(hkl)
7.326	100	0 1 -1
4.710	32	0 0 2
4.634	60	0 1 -2
2.930	79	1 -2 0
2.897	48	0 3 0
2.784	22	0 3 -2
2.749	28	0 1 3
2.663	35	1 0 2
1.782	23	-1 3 3
1.699	25	2 -1 0

Atomic structure:
```
data_CaWO2
_chemical_formula_sum 'Ca4 W4 O8'
_cell_length_a 3.3958
_cell_length_b 9.1086
_cell_length_c 9.7054
_cell_angle_alpha 103.64
_cell_angle_beta 90.21
_cell_angle_gamma 100.61
_symmetry_space_group_name_H-M 'P -1'
_symmetry_Int_Tables_number 2
loop_
_symmetry_equiv_pos_as_xyz
'x,y,z'
'-x,-y,-z'
loop_
_atom_site_label
_atom_site_fract_x
_atom_site_fract_y
_atom_site_fract_z
Ca1 0.1145 0.2344 0.0694
Ca2 0.1773 0.3513 0.7083
W1 0.1821 0.3637 0.3804
W2 0.4874 0.9747 0.2169
O1 0.0627 0.1269 0.2727
O2 0.0905 0.1818 0.8339
O3 0.3089 0.6199 0.4645
O4 0.3113 0.6202 0.7627
```